[1]
Structure and calculated powder X-ray diffraction pattern of MgMn2H (a crystal structure in Alexandria, relaxed with PBE; Cu Kα, 1.54184 Å).
No peak broadening, texture or thermal motion is included.

The 10 most intense peaks (2θ = 10–90°), sorted by position:
2theta, intensity
20.3, 57
33.5, 11
39.5, 100
41.4, 68
48.1, 18
52.8, 11
64.0, 29
70.4, 28
83.9, 10
85.1, 21

Unit cell a=7.5610 b=7.5610 c=7.5610 alpha=90.00 beta=90.00 gamma=90.00
Space group Fd-3m (No. 227, origin choice 2)
Symmetry-distinct sites (fractional):
Mg 0.1250 0.1250 0.1250
Mn 0.0000 0.0000 0.5000
H 0.1250 0.1250 0.6250

[2]
Structure and calculated powder X-ray diffraction pattern of Mg3MnH6 (a crystal structure in Alexandria, relaxed with PBE; Cu Kα, 1.54184 Å).
No peak broadening, texture or thermal motion is included.

The 10 most intense peaks (2θ = 10–90°), sorted by position:
2theta, intensity
21.9, 38
22.8, 37
28.6, 18
31.8, 41
35.1, 47
38.4, 18
39.0, 100
40.6, 26
52.0, 31
60.4, 30

Unit cell a=8.1143 b=8.1143 c=9.3720 alpha=90.00 beta=90.00 gamma=120.00
Space group R-3 (No. 148, hexagonal axes)
Symmetry-distinct sites (fractional):
Mg 0.0504 0.2579 0.2008
Mn 0.0000 0.0000 0.0000
Mn 0.0000 0.0000 0.5000
H 0.0234 0.1919 0.4050
H 0.0370 0.1944 0.9070